(1)
Starting from a cell relaxed with GGA-PBE, the powder X-ray diffraction pattern of LiPmIn4Rh2 was simulated for Cu Kα (weighted mean of Kα1 and Kα2).
Intensities are scaled so that the largest is 100.

Cell and atoms:
a b c (Å): 9.2924 9.2924 9.2924
angles (deg): 28.67 28.67 28.67
Sites, in units of the cell vectors:
Li 0.0000 0.0000 0.0000
Pm 0.5000 0.5000 0.5000
In 0.1029 0.1029 0.1029
In 0.3696 0.3696 0.3696
In 0.6304 0.6304 0.6304
In 0.8971 0.8971 0.8971
Rh 0.2639 0.2639 0.2639
Rh 0.7361 0.7361 0.7361

Largest 10 diffraction maxima, most intense first, 10 to 80 degrees two-theta:
| d/Å | intensity |
| --- | --- |
| 2.301 | 100 |
| 2.559 | 81 |
| 3.194 | 39 |
| 1.711 | 24 |
| 1.373 | 22 |
| 2.074 | 17 |
| 2.756 | 17 |
| 1.328 | 17 |
| 3.941 | 11 |
| 1.826 | 10 |

(2)
Starting from a cell relaxed with GGA-PBE, the powder X-ray diffraction pattern of LiTbPmIn was simulated for Cu Kα (weighted mean of Kα1 and Kα2).
Intensities are scaled so that the largest is 100.

Cell and atoms:
a b c (Å): 7.5678 7.5678 7.5678
angles (deg): 90.00 90.00 90.00
Sites, in units of the cell vectors:
Li 0.0000 0.0000 0.0000
Li 0.0000 0.5000 0.5000
Li 0.5000 0.0000 0.5000
Li 0.5000 0.5000 0.0000
Tb 0.2500 0.2500 0.2500
Tb 0.2500 0.7500 0.7500
Tb 0.7500 0.2500 0.7500
Tb 0.7500 0.7500 0.2500
Pm 0.2500 0.2500 0.7500
Pm 0.2500 0.7500 0.2500
Pm 0.7500 0.2500 0.2500
Pm 0.7500 0.7500 0.7500
In 0.0000 0.0000 0.5000
In 0.0000 0.5000 0.0000
In 0.5000 0.0000 0.0000
In 0.5000 0.5000 0.5000

Largest 10 diffraction maxima, most intense first, 10 to 80 degrees two-theta:
| d/Å | intensity |
| --- | --- |
| 2.676 | 100 |
| 1.545 | 37 |
| 3.784 | 22 |
| 1.892 | 18 |
| 4.369 | 16 |
| 1.338 | 11 |
| 1.692 | 10 |
| 2.282 | 9 |
| 2.185 | 7 |
| 1.261 | 5 |

(3)
Starting from a cell relaxed with GGA-PBE, the powder X-ray diffraction pattern of Li8PrIn3 was simulated for Cu Kα (weighted mean of Kα1 and Kα2).
Intensities are scaled so that the largest is 100.

Cell and atoms:
a b c (Å): 5.4395 5.4395 9.3219
angles (deg): 90.00 90.00 120.00
Sites, in units of the cell vectors:
Li 0.0000 0.0000 0.0000
Li 0.0000 0.0000 0.4844
Li 0.1709 0.3419 0.7694
Li 0.1709 0.8291 0.7694
Li 0.3446 0.1723 0.2379
Li 0.6581 0.8291 0.7694
Li 0.8277 0.1723 0.2379
Li 0.8277 0.6554 0.2379
Pr 0.6667 0.3333 0.5709
In 0.3333 0.6667 0.0686
In 0.3333 0.6667 0.4314
In 0.6667 0.3333 0.9376

Largest 10 diffraction maxima, most intense first, 10 to 80 degrees two-theta:
| d/Å | intensity |
| --- | --- |
| 2.594 | 100 |
| 2.720 | 80 |
| 4.711 | 71 |
| 4.204 | 56 |
| 2.349 | 52 |
| 4.661 | 39 |
| 1.545 | 39 |
| 1.877 | 32 |
| 3.313 | 28 |
| 1.734 | 21 |

(4)
Starting from a cell relaxed with GGA-PBE, the powder X-ray diffraction pattern of Li4PrIn15 was simulated for Cu Kα (weighted mean of Kα1 and Kα2).
Intensities are scaled so that the largest is 100.

Cell and atoms:
a b c (Å): 4.5490 4.5490 23.5780
angles (deg): 90.00 90.00 90.00
Sites, in units of the cell vectors:
Li 0.0000 0.0000 0.0970
Li 0.0000 0.0000 0.2996
Li 0.0000 0.0000 0.7004
Li 0.0000 0.0000 0.9030
Pr 0.0000 0.0000 0.5000
In 0.0000 0.5000 0.0000
In 0.0000 0.5000 0.1972
In 0.0000 0.5000 0.3925
In 0.0000 0.5000 0.6075
In 0.0000 0.5000 0.8028
In 0.5000 0.0000 0.0000
In 0.5000 0.0000 0.1972
In 0.5000 0.0000 0.3925
In 0.5000 0.0000 0.6075
In 0.5000 0.0000 0.8028
In 0.5000 0.5000 0.0976
In 0.5000 0.5000 0.2974
In 0.5000 0.5000 0.5000
In 0.5000 0.5000 0.7026
In 0.5000 0.5000 0.9024

Largest 10 diffraction maxima, most intense first, 10 to 80 degrees two-theta:
| d/Å | intensity |
| --- | --- |
| 2.657 | 100 |
| 2.274 | 33 |
| 1.376 | 25 |
| 1.637 | 21 |
| 2.358 | 17 |
| 1.412 | 12 |
| 1.608 | 11 |
| 1.329 | 10 |
| 4.549 | 10 |
| 3.274 | 9 |

(5)
Starting from a cell relaxed with GGA-PBE, the powder X-ray diffraction pattern of LiPr6In2 was simulated for Cu Kα (weighted mean of Kα1 and Kα2).
Intensities are scaled so that the largest is 100.

Cell and atoms:
a b c (Å): 9.1536 9.1536 5.1718
angles (deg): 106.27 106.27 51.48
Sites, in units of the cell vectors:
Li 0.0000 0.0000 0.0000
Pr 0.0849 0.5867 0.8357
Pr 0.2525 0.7475 0.5000
Pr 0.4133 0.9151 0.1643
Pr 0.5867 0.0849 0.8357
Pr 0.7475 0.2525 0.5000
Pr 0.9151 0.4133 0.1643
In 0.3336 0.3336 0.3336
In 0.6664 0.6664 0.6664

Largest 10 diffraction maxima, most intense first, 10 to 80 degrees two-theta:
| d/Å | intensity |
| --- | --- |
| 2.699 | 100 |
| 3.675 | 35 |
| 2.612 | 23 |
| 2.586 | 22 |
| 3.976 | 21 |
| 1.524 | 17 |
| 1.514 | 17 |
| 1.988 | 10 |
| 1.582 | 10 |
| 1.576 | 10 |

(6)
Starting from a cell relaxed with GGA-PBE, the powder X-ray diffraction pattern of Li3PrIn3 was simulated for Cu Kα (weighted mean of Kα1 and Kα2).
Intensities are scaled so that the largest is 100.

Cell and atoms:
a b c (Å): 7.1032 7.1032 7.1032
angles (deg): 90.00 90.00 90.00
Sites, in units of the cell vectors:
Li 0.0000 0.2500 0.5000
Li 0.0000 0.7500 0.5000
Li 0.2500 0.5000 0.0000
Li 0.5000 0.0000 0.2500
Li 0.5000 0.0000 0.7500
Li 0.7500 0.5000 0.0000
Pr 0.0000 0.0000 0.0000
Pr 0.5000 0.5000 0.5000
In 0.0000 0.5000 0.2500
In 0.0000 0.5000 0.7500
In 0.2500 0.0000 0.5000
In 0.5000 0.2500 0.0000
In 0.5000 0.7500 0.0000
In 0.7500 0.0000 0.5000

Largest 10 diffraction maxima, most intense first, 10 to 80 degrees two-theta:
| d/Å | intensity |
| --- | --- |
| 2.900 | 100 |
| 3.177 | 92 |
| 1.898 | 58 |
| 3.552 | 42 |
| 1.970 | 23 |
| 1.776 | 22 |
| 1.550 | 21 |
| 1.319 | 18 |
| 1.297 | 16 |
| 1.588 | 16 |

(7)
Starting from a cell relaxed with GGA-PBE, the powder X-ray diffraction pattern of Li2Pr3In3 was simulated for Cu Kα (weighted mean of Kα1 and Kα2).
Intensities are scaled so that the largest is 100.

Cell and atoms:
a b c (Å): 17.9395 4.7392 5.0172
angles (deg): 90.00 106.12 90.00
Sites, in units of the cell vectors:
Li 0.2422 0.0000 0.2417
Li 0.2578 0.5000 0.7583
Li 0.7422 0.5000 0.2417
Li 0.7578 0.0000 0.7583
Pr 0.0000 0.0000 0.0000
Pr 0.1428 0.0000 0.6428
Pr 0.3572 0.5000 0.3572
Pr 0.5000 0.5000 0.0000
Pr 0.6428 0.5000 0.6428
Pr 0.8572 0.0000 0.3572
In 0.0000 0.5000 0.5000
In 0.1504 0.5000 0.1504
In 0.3496 0.0000 0.8496
In 0.5000 0.0000 0.5000
In 0.6504 0.0000 0.1504
In 0.8496 0.5000 0.8496

Largest 10 diffraction maxima, most intense first, 10 to 80 degrees two-theta:
| d/Å | intensity |
| --- | --- |
| 2.691 | 100 |
| 3.199 | 46 |
| 2.509 | 25 |
| 2.872 | 22 |
| 2.370 | 21 |
| 1.541 | 19 |
| 1.723 | 17 |
| 1.481 | 16 |
| 1.422 | 14 |
| 1.828 | 12 |

(8)
Starting from a cell relaxed with GGA-PBE, the powder X-ray diffraction pattern of LiPrTlIn was simulated for Cu Kα (weighted mean of Kα1 and Kα2).
Intensities are scaled so that the largest is 100.

Cell and atoms:
a b c (Å): 7.4825 7.4825 7.4825
angles (deg): 90.00 90.00 90.00
Sites, in units of the cell vectors:
Li 0.0000 0.0000 0.0000
Li 0.0000 0.5000 0.5000
Li 0.5000 0.0000 0.5000
Li 0.5000 0.5000 0.0000
Pr 0.0000 0.0000 0.5000
Pr 0.0000 0.5000 0.0000
Pr 0.5000 0.0000 0.0000
Pr 0.5000 0.5000 0.5000
Tl 0.2500 0.2500 0.2500
Tl 0.2500 0.7500 0.7500
Tl 0.7500 0.2500 0.7500
Tl 0.7500 0.7500 0.2500
In 0.2500 0.2500 0.7500
In 0.2500 0.7500 0.2500
In 0.7500 0.2500 0.2500
In 0.7500 0.7500 0.7500

Largest 10 diffraction maxima, most intense first, 10 to 80 degrees two-theta:
| d/Å | intensity |
| --- | --- |
| 2.645 | 100 |
| 1.527 | 37 |
| 4.320 | 27 |
| 1.871 | 18 |
| 3.741 | 16 |
| 2.256 | 15 |
| 1.323 | 12 |
| 1.673 | 7 |
| 1.717 | 7 |
| 1.440 | 5 |